No. 1
Theoretical powder diffraction line list of PrYCO for Cu Ka, from a PBE-relaxed structure.
No peak broadening, texture or thermal motion is included.

Top 10 peaks for 5° ≤ 2θ ≤ 70°, low angle first:
(hkl)	2θ/deg	intensity
0 0 2	14.46	14.5
0 1 1	27.37	59.2
1 0 1	28.55	52.2
0 0 4	29.15	50.2
0 1 3	34.43	41.0
1 0 3	35.41	39.5
1 1 2	41.35	100.0
0 1 5	45.72	22.2
1 0 5	46.50	20.1
1 1 6	60.16	33.7

Crystal structure
Cell lengths 3.233, 3.381, 12.254 Å; angles 90.00, 90.00, 90.00 degrees
Space group Imm2 (No. 44)
Unique sites:
Pr (0.000, 0.000, 0.000) (multiplicity 2)
Y (0.000, 0.500, 0.251) (multiplicity 2)
C (0.000, 0.500, 0.839) (multiplicity 2)
O (0.000, 0.000, 0.594) (multiplicity 2)


No. 2
Theoretical powder diffraction line list of In4Sn2I9 for Cu Ka, from a PBE-relaxed structure.
No peak broadening, texture or thermal motion is included.

Top 10 peaks for 5° ≤ 2θ ≤ 70°, low angle first:
(hkl)	2θ/deg	intensity
0 1 2	14.72	21.9
1 1 3	24.78	100.0
1 1 6	31.74	87.1
3 0 0	38.63	53.3
2 -1 9	41.00	25.3
2 2 3	46.43	19.0
4 -2 6	50.83	22.3
3 0 12	61.66	23.0
1 4 3	61.93	16.6
4 1 6	65.62	19.5

Crystal structure
Cell lengths 8.0739, 8.0739, 23.6345 Å; angles 90.00, 90.00, 120.00 degrees
Space group P-3 (No. 147)
Unique sites:
In (0.3333, 0.6667, 0.0088) (multiplicity 2)
In (0.3333, 0.6667, 0.3262) (multiplicity 2)
In (0.3333, 0.6667, 0.5089) (multiplicity 2)
In (0.3333, 0.6667, 0.8285) (multiplicity 2)
Sn (0.0000, 0.0000, 0.1603) (multiplicity 2)
Sn (0.0000, 0.0000, 0.3402) (multiplicity 2)
I (0.0049, 0.3075, 0.7506) (multiplicity 6)
I (0.0087, 0.6781, 0.9138) (multiplicity 6)
I (0.0106, 0.3292, 0.4133) (multiplicity 6)